# Rb2BeCrO4
Computed XRD peak list, Cu Kα (λ = 1.5418 Å). Input: the GGA+U geometry in Alexandria.
Neutral-atom scattering factors, no anomalous dispersion.

Most intense lines, 2θ from 10° to 90°, sorted by position:
2θ = 20.9°, d = 4.257 Å, I 43.3
2θ = 29.6°, d = 3.021 Å, I 100.0
2θ = 30.0°, d = 2.975 Å, I 29.4
2θ = 30.4°, d = 2.941 Å, I 28.6
2θ = 32.4°, d = 2.763 Å, I 33.7
2θ = 36.7°, d = 2.448 Å, I 41.8

Structural model:
a b c (Å): 12.082 10.810 6.330
angles (deg): 85.42 63.10 31.48
Sites, in units of the cell vectors:
Rb: 0.049 0.049 0.701
Rb: 0.299 0.299 0.951
Rb: 0.701 0.701 0.049
Rb: 0.951 0.951 0.299
Be: 0.375 0.375 0.375
Be: 0.625 0.625 0.625
Cr: 0.125 0.125 0.125
Cr: 0.875 0.875 0.875
O: 0.022 0.644 0.570
O: 0.264 0.570 0.644
O: 0.356 0.978 0.736
O: 0.430 0.736 0.978
O: 0.570 0.264 0.022
O: 0.644 0.022 0.264
O: 0.736 0.430 0.356
O: 0.978 0.356 0.430